Starting from a DFT-relaxed cell (PBE, Alexandria), the powder diffractogram of ZnCu3P4O14 was calculated for a wavelength of 1.5418 Å.
Kinematic intensities with the Lorentz-polarization factor, no thermal factor.

Top 10 peaks for 2θ from 10° to 90°, by intensity:
2θ (°), I/Imax
32.28, 100
34.55, 89
28.67, 82
25.41, 67
28.87, 64
35.46, 55
21.84, 55
19.85, 51
45.19, 43
29.91, 42

Atomic structure:
```
44
Lattice="7.202 0.000 0.000 0.000 8.138 0.000 -2.665 0.000 8.947" Properties=species:S:1:pos:R:3 pbc="T T T"
Zn 0.000 0.000 0.000
Zn -1.332 4.069 4.473
Cu 1.023 1.070 4.455
Cu -0.310 2.999 8.929
Cu 3.601 0.000 0.000
Cu 2.269 4.069 4.473
Cu 4.847 5.139 0.018
Cu 3.515 7.068 4.492
P -1.324 0.181 6.282
P 0.008 3.888 1.808
P 2.300 5.824 1.785
P 0.967 6.383 6.258
P 3.570 1.755 2.689
P 2.238 2.314 7.162
P 4.529 4.250 7.138
P 5.862 7.957 2.665
O 0.092 0.068 3.068
O -1.240 4.001 7.541
O -1.268 0.476 7.824
O 0.064 3.594 3.351
O -0.574 1.293 5.551
O 0.758 2.777 1.078
O 0.782 5.296 1.589
O -0.550 6.911 6.062
O 0.953 4.976 5.660
O 2.286 7.231 1.186
O 2.509 5.775 3.332
O 1.177 6.432 7.806
O 3.206 4.857 1.043
O 1.874 7.350 5.516
O 2.664 0.788 3.431
O 1.332 3.281 7.904
O 3.361 1.706 1.141
O 2.029 2.363 5.615
O 2.252 0.907 7.760
O 3.584 3.162 3.287
O 5.088 1.227 2.885
O 3.756 2.842 7.358
O 3.779 5.362 7.869
O 5.112 6.846 3.396
O 4.473 4.545 5.596
O 5.806 7.663 1.123
O 5.777 4.137 1.406
O 4.445 8.070 5.879
```